Record 1
For Li5BN3, a crystal structure in Alexandria, relaxed with PBE gives the simulated X-ray diffraction stick pattern in this record (Cu Ka).
Peak positions follow from Bragg's law for the DFT cell and can differ from measured ones.

Largest 8 diffraction maxima, by angle, 2θ from 5° to 70°:
two_theta  Rel. int.  index
19.12  11  2 0 0
29.89  100  1 1 -2
33.96  38  3 1 0
35.47  12  0 2 0
40.60  11  2 2 0
44.44  13  0 2 2
49.19  25  2 0 -4
52.87  34  4 2 -2

Crystal structure
```
data_Li5BN3
_space_group_name_H-M_alt 'C 1 2/c 1'
_space_group_IT_number 15
_cell_length_a 9.986
_cell_length_b 5.061
_cell_length_c 7.409
_cell_angle_alpha 90.00
_cell_angle_beta 111.63
_cell_angle_gamma 90.00
loop_
_space_group_symop_operation_xyz
'x,y,z'
'-x,-y,-z'
'-x,y,-z+1/2'
'x,-y,z+1/2'
'x+1/2,y+1/2,z'
'-x+1/2,-y+1/2,-z'
'-x+1/2,y+1/2,-z+1/2'
'x+1/2,-y+1/2,z+1/2'
loop_
_atom_site_label
_atom_site_type_symbol
_atom_site_fract_x
_atom_site_fract_y
_atom_site_fract_z
Li1 Li 0.000 0.096 0.250
Li2 Li 0.162 0.252 0.074
Li3 Li 0.167 0.241 0.591
B1 B 0.000 0.467 0.750
N1 N 0.000 0.000 0.000
N2 N 0.146 0.488 0.822
```

---

Record 2
For LiNdBN2, a crystal structure in Alexandria, relaxed with PBE gives the simulated X-ray diffraction stick pattern in this record (Cu Ka).
Peak positions follow from Bragg's law for the DFT cell and can differ from measured ones.

Largest 8 diffraction maxima, by angle, 2θ from 5° to 70°:
two_theta  Rel. int.  index
16.76  100  1 0 0
28.09  77  0 1 1
30.50  22  0 0 2
30.92  46  1 1 -1
31.19  43  1 0 -2
33.89  23  2 0 0
34.76  68  1 1 1
41.53  37  2 1 -1

Crystal structure
```
data_LiNdBN2
_space_group_name_H-M_alt 'P 1 2/c 1'
_space_group_IT_number 13
_cell_length_a 5.445
_cell_length_b 3.779
_cell_length_c 6.034
_cell_angle_alpha 90.00
_cell_angle_beta 103.72
_cell_angle_gamma 90.00
loop_
_space_group_symop_operation_xyz
'x,y,z'
'-x,-y,-z'
'-x,y,-z+1/2'
'x,-y,z+1/2'
loop_
_atom_site_label
_atom_site_type_symbol
_atom_site_fract_x
_atom_site_fract_y
_atom_site_fract_z
Li1 Li 0.000 0.022 0.250
Nd1 Nd 0.500 0.236 0.750
B1 B 0.000 0.500 0.000
N1 N 0.204 0.278 0.034
```

---

Record 3
For LiPmBN2, a crystal structure in Alexandria, relaxed with PBE gives the simulated X-ray diffraction stick pattern in this record (Cu Ka).
Peak positions follow from Bragg's law for the DFT cell and can differ from measured ones.

Largest 8 diffraction maxima, by angle, 2θ from 5° to 70°:
two_theta  Rel. int.  index
16.91  100  1 0 0
28.27  76  0 1 1
31.14  45  1 1 -1
31.33  42  1 0 -2
34.21  22  2 0 0
35.01  67  1 1 1
41.87  36  2 1 -1
52.13  28  2 0 2

Crystal structure
```
data_LiPmBN2
_space_group_name_H-M_alt 'P 1 2/c 1'
_space_group_IT_number 13
_cell_length_a 5.396
_cell_length_b 3.753
_cell_length_c 6.011
_cell_angle_alpha 90.00
_cell_angle_beta 103.74
_cell_angle_gamma 90.00
loop_
_space_group_symop_operation_xyz
'x,y,z'
'-x,-y,-z'
'-x,y,-z+1/2'
'x,-y,z+1/2'
loop_
_atom_site_label
_atom_site_type_symbol
_atom_site_fract_x
_atom_site_fract_y
_atom_site_fract_z
Li1 Li 0.000 0.021 0.250
Pm1 Pm 0.500 0.236 0.750
B1 B 0.000 0.500 0.000
N1 N 0.207 0.278 0.035
```

---

Record 4
For NaLiB14, a crystal structure in Alexandria, relaxed with PBE gives the simulated X-ray diffraction stick pattern in this record (Cu Ka).
Peak positions follow from Bragg's law for the DFT cell and can differ from measured ones.

Largest 8 diffraction maxima, by angle, 2θ from 5° to 70°:
two_theta  Rel. int.  index
18.65  24  1 0 1
25.43  60  1 2 1
35.20  77  2 2 0
37.44  24  1 3 2
40.54  100  1 2 3
41.94  53  2 3 1
53.08  23  0 6 0
66.99  29  2 6 2

Crystal structure
```
data_NaLiB14
_space_group_name_H-M_alt 'I m m a'
_space_group_IT_number 74
_space_group_name_Hall '-I 2b 2'
_cell_length_a 5.859
_cell_length_b 10.353
_cell_length_c 8.151
_cell_angle_alpha 90.00
_cell_angle_beta 90.00
_cell_angle_gamma 90.00
loop_
_atom_site_label
_atom_site_type_symbol
_atom_site_fract_x
_atom_site_fract_y
_atom_site_fract_z
Na1 Na 0.000 0.250 0.162
Li1 Li 0.250 0.250 0.750
B1 B 0.000 0.086 0.670
B2 B 0.000 0.162 0.884
B3 B 0.000 0.167 0.471
B4 B 0.160 0.061 0.336
B5 B 0.247 0.080 0.546
```